No. 1
Pr8Y3Ho2: calculated powder diffraction line list (Cu Kα), based on a GGA-PBE-relaxed structure.
Neutral-atom scattering factors, no anomalous dispersion.

Atomic structure:
Unit cell a=10.9898 b=10.9898 c=5.7975 alpha=90.02 beta=90.02 gamma=41.46
Atoms (fractional coordinates):
Pr (0.0979, 0.6893, 0.9999)
Pr (0.1742, 0.1742, 0.5008)
Pr (0.3107, 0.9021, 0.0001)
Pr (0.3678, 0.3678, 0.5006)
Pr (0.6322, 0.6322, 0.4994)
Pr (0.6893, 0.0979, 0.9999)
Pr (0.8258, 0.8258, 0.4992)
Pr (0.9021, 0.3107, 0.0001)
Y (0.2154, 0.7846, 0.5000)
Y (0.5000, 0.5000, 0.0000)
Y (0.7846, 0.2154, 0.5000)
Ho (0.2601, 0.2601, 0.0011)
Ho (0.7399, 0.7399, 0.9989)

Peak list (10 most intense, 2θ = 10–80°, low angle first)
- 24.47°, I 28
- 28.99°, I 40
- 30.30°, I 40
- 30.85°, I 47
- 32.75°, I 100
- 34.90°, I 20
- 39.76°, I 15
- 47.25°, I 17
- 56.07°, I 21
- 60.09°, I 13

=====

No. 2
La2H5: calculated powder diffraction line list (Cu Kα), based on a GGA-PBE-relaxed structure.
Neutral-atom scattering factors, no anomalous dispersion.

Atomic structure:
Unit cell a=6.8746 b=6.8746 c=6.8746 alpha=132.41 beta=132.41 gamma=69.57
Atoms (fractional coordinates):
La (0.1206, 0.3706, 0.7500)
La (0.3706, 0.1206, 0.2500)
La (0.6294, 0.8794, 0.7500)
La (0.8794, 0.6294, 0.2500)
H (0.0000, 0.2690, 0.2690)
H (0.0000, 0.7310, 0.7310)
H (0.1250, 0.8750, 0.2500)
H (0.2690, 0.0000, 0.7690)
H (0.2690, 0.5000, 0.2690)
H (0.5000, 0.2690, 0.7690)
H (0.5000, 0.7310, 0.2310)
H (0.7310, 0.0000, 0.2310)
H (0.7310, 0.5000, 0.7310)
H (0.8750, 0.1250, 0.7500)

Peak list (10 most intense, 2θ = 10–80°, low angle first)
- 27.69°, I 100
- 31.70°, I 17
- 32.28°, I 33
- 45.87°, I 26
- 46.30°, I 13
- 54.05°, I 15
- 54.80°, I 30
- 57.20°, I 13
- 73.86°, I 12
- 74.50°, I 6

=====

No. 3
YSnSb2I: calculated powder diffraction line list (Cu Kα), based on a GGA-PBE-relaxed structure.
Neutral-atom scattering factors, no anomalous dispersion.

Atomic structure:
Unit cell a=5.8788 b=5.8788 c=5.7915 alpha=90.00 beta=90.00 gamma=90.00
Atoms (fractional coordinates):
Y (0.0000, 0.0000, 0.0000)
Sn (0.5000, 0.5000, 0.5000)
Sb (0.0000, 0.5000, 0.0000)
Sb (0.5000, 0.0000, 0.0000)
I (0.0000, 0.0000, 0.5000)

Peak list (10 most intense, 2θ = 10–80°, low angle first)
- 26.39°, I 100
- 30.41°, I 74
- 30.88°, I 36
- 43.54°, I 28
- 43.89°, I 54
- 51.64°, I 32
- 52.25°, I 15
- 54.33°, I 28
- 70.30°, I 13
- 71.81°, I 12

=====

No. 4
U2NiPt6: calculated powder diffraction line list (Cu Kα), based on a GGA-PBE-relaxed structure.
Neutral-atom scattering factors, no anomalous dispersion.

Atomic structure:
Unit cell a=5.5209 b=5.5209 c=6.1129 alpha=90.08 beta=90.08 gamma=60.02
Atoms (fractional coordinates):
U (0.1666, 0.1666, 0.3753)
U (0.8334, 0.8334, 0.6247)
Ni (0.5000, 0.5000, 0.5000)
Pt (0.1592, 0.6702, 0.1886)
Pt (0.3299, 0.3299, 0.8108)
Pt (0.3298, 0.8408, 0.8114)
Pt (0.6702, 0.1592, 0.1886)
Pt (0.6701, 0.6701, 0.1892)
Pt (0.8408, 0.3298, 0.8114)

Peak list (10 most intense, 2θ = 10–80°, low angle first)
- 29.22°, I 16
- 34.84°, I 42
- 35.69°, I 27
- 37.62°, I 23
- 40.51°, I 100
- 48.33°, I 13
- 48.57°, I 13
- 59.41°, I 17
- 67.90°, I 21
- 73.55°, I 12

=====

No. 5
Ce3Ga2Tc4: calculated powder diffraction line list (Cu Kα), based on a GGA-PBE-relaxed structure.
Neutral-atom scattering factors, no anomalous dispersion.

Atomic structure:
Unit cell a=5.3813 b=5.3813 c=8.6067 alpha=95.96 beta=95.96 gamma=49.54
Atoms (fractional coordinates):
Ce (0.0000, 0.0000, 0.0000)
Ce (0.3567, 0.3567, 0.6218)
Ce (0.6433, 0.6433, 0.3782)
Ga (0.3304, 0.3304, 0.2331)
Ga (0.6696, 0.6696, 0.7669)
Tc (0.0984, 0.0984, 0.6107)
Tc (0.2376, 0.2376, 0.9211)
Tc (0.7624, 0.7624, 0.0789)
Tc (0.9016, 0.9016, 0.3893)

Peak list (10 most intense, 2θ = 10–80°, low angle first)
- 24.58°, I 77
- 29.49°, I 80
- 34.10°, I 55
- 37.34°, I 40
- 37.59°, I 47
- 38.49°, I 40
- 39.40°, I 100
- 39.75°, I 35
- 39.99°, I 88
- 41.98°, I 41

=====

No. 6
Na5Ca4P4O16F: calculated powder diffraction line list (Cu Kα), based on a GGA-PBE-relaxed structure.
Neutral-atom scattering factors, no anomalous dispersion.

Atomic structure:
Unit cell a=8.7424 b=8.7424 c=8.7424 alpha=95.63 beta=95.63 gamma=143.50
Atoms (fractional coordinates):
Na (0.0000, 0.0000, 0.0000)
Na (0.0970, 0.5793, 0.7047)
Na (0.4207, 0.1254, 0.5177)
Na (0.6077, 0.9030, 0.4823)
Na (0.8746, 0.3923, 0.2953)
Ca (0.3009, 0.3680, 0.7104)
Ca (0.4094, 0.6991, 0.0671)
Ca (0.6320, 0.3424, 0.9329)
Ca (0.6576, 0.5906, 0.2896)
P (0.1178, 0.2638, 0.3544)
P (0.2366, 0.8822, 0.1460)
P (0.7362, 0.0906, 0.8540)
P (0.9094, 0.7634, 0.6456)
O (0.0197, 0.2570, 0.8617)
O (0.0724, 0.3523, 0.4840)
O (0.1571, 0.7186, 0.9811)
O (0.2146, 0.0311, 0.7404)
O (0.2814, 0.2625, 0.4385)
O (0.2907, 0.4742, 0.2596)
O (0.3953, 0.1580, 0.1383)
O (0.4116, 0.9276, 0.2799)
O (0.5258, 0.7854, 0.8165)
O (0.6477, 0.1317, 0.7201)
O (0.7375, 0.1760, 0.0189)
O (0.7430, 0.6047, 0.7627)
O (0.8240, 0.8429, 0.5615)
O (0.8420, 0.9803, 0.2373)
O (0.8683, 0.5884, 0.5160)
O (0.9689, 0.7093, 0.1835)
F (0.5000, 0.5000, 0.0000)

Peak list (10 most intense, 2θ = 10–80°, low angle first)
- 15.09°, I 26
- 23.47°, I 56
- 23.97°, I 31
- 31.98°, I 100
- 32.71°, I 71
- 35.53°, I 74
- 39.12°, I 61
- 41.86°, I 28
- 45.30°, I 24
- 48.01°, I 43

=====

No. 7
U2CoSi3: calculated powder diffraction line list (Cu Kα), based on a GGA-PBE-relaxed structure.
Neutral-atom scattering factors, no anomalous dispersion.

Atomic structure:
Unit cell a=3.7610 b=4.0442 c=6.8821 alpha=90.00 beta=90.00 gamma=90.00
Atoms (fractional coordinates):
U (0.0000, 0.0000, 0.0000)
U (0.0000, 0.5000, 0.4855)
Co (0.5000, 0.0000, 0.3198)
Si (0.5000, 0.0000, 0.6518)
Si (0.5000, 0.5000, 0.1623)
Si (0.5000, 0.5000, 0.8239)

Peak list (10 most intense, 2θ = 10–80°, low angle first)
- 23.66°, I 21
- 25.55°, I 58
- 25.89°, I 27
- 35.10°, I 100
- 35.35°, I 50
- 44.82°, I 17
- 45.46°, I 31
- 55.52°, I 15
- 58.34°, I 25
- 68.57°, I 19

=====

No. 8
YTm7Cd2: calculated powder diffraction line list (Cu Kα), based on a GGA-PBE-relaxed structure.
Neutral-atom scattering factors, no anomalous dispersion.

Atomic structure:
Unit cell a=8.9676 b=8.9676 c=5.1745 alpha=90.00 beta=90.00 gamma=120.74
Atoms (fractional coordinates):
Y (0.0000, 0.0000, 0.0000)
Tm (0.0644, 0.2992, 0.5000)
Tm (0.2236, 0.7764, 0.0000)
Tm (0.2992, 0.0644, 0.5000)
Tm (0.5000, 0.5000, 0.5000)
Tm (0.7008, 0.9356, 0.5000)
Tm (0.7764, 0.2236, 0.0000)
Tm (0.9356, 0.7008, 0.5000)
Cd (0.3047, 0.6953, 0.5000)
Cd (0.6953, 0.3047, 0.5000)

Peak list (10 most intense, 2θ = 10–80°, low angle first)
- 17.14°, I 64
- 20.64°, I 30
- 28.68°, I 58
- 30.54°, I 76
- 34.67°, I 61
- 35.09°, I 100
- 35.44°, I 78
- 46.87°, I 47
- 62.90°, I 38
- 64.95°, I 26

=====

No. 9
MnV5Fe4: calculated powder diffraction line list (Cu Kα), based on a GGA-PBE-relaxed structure.
Neutral-atom scattering factors, no anomalous dispersion.

Atomic structure:
Unit cell a=2.8708 b=2.8708 c=14.4224 alpha=90.00 beta=90.00 gamma=90.00
Atoms (fractional coordinates):
Mn (0.0000, 0.0000, 0.0000)
V (0.5000, 0.5000, 0.0986)
V (0.5000, 0.5000, 0.2995)
V (0.5000, 0.5000, 0.5000)
V (0.5000, 0.5000, 0.7005)
V (0.5000, 0.5000, 0.9014)
Fe (0.0000, 0.0000, 0.1987)
Fe (0.0000, 0.0000, 0.3995)
Fe (0.0000, 0.0000, 0.6005)
Fe (0.0000, 0.0000, 0.8013)

Peak list (5 most intense, 2θ = 10–80°, low angle first)
- 31.15°, I 1
- 44.53°, I 100
- 44.64°, I 50
- 64.62°, I 7
- 64.97°, I 15

=====

No. 10
Dy4YTm6: calculated powder diffraction line list (Cu Kα), based on a GGA-PBE-relaxed structure.
Neutral-atom scattering factors, no anomalous dispersion.

Atomic structure:
Unit cell a=5.5547 b=5.5547 c=25.4358 alpha=90.00 beta=90.00 gamma=119.72
Atoms (fractional coordinates):
Dy (0.0048, 0.9952, 0.6217)
Dy (0.0048, 0.9952, 0.8783)
Dy (0.3348, 0.6652, 0.5420)
Dy (0.3348, 0.6652, 0.9580)
Dy (0.6652, 0.3348, 0.0420)
Dy (0.6652, 0.3348, 0.4580)
Dy (0.9952, 0.0048, 0.1217)
Dy (0.9952, 0.0048, 0.3783)
Y (0.3289, 0.6711, 0.2500)
Y (0.6711, 0.3289, 0.7500)
Tm (0.0000, 0.0000, 0.0000)
Tm (0.0000, 0.0000, 0.5000)
Tm (0.0048, 0.9952, 0.7500)
Tm (0.3295, 0.6705, 0.1038)
Tm (0.3295, 0.6705, 0.3962)
Tm (0.3378, 0.6622, 0.6816)
Tm (0.3378, 0.6622, 0.8184)
Tm (0.6622, 0.3378, 0.1816)
Tm (0.6622, 0.3378, 0.3184)
Tm (0.6705, 0.3295, 0.6038)
Tm (0.6705, 0.3295, 0.8962)
Tm (0.9952, 0.0048, 0.2500)

Peak list (10 most intense, 2θ = 10–80°, low angle first)
- 30.82°, I 95
- 32.09°, I 51
- 32.23°, I 100
- 33.78°, I 52
- 45.12°, I 24
- 47.30°, I 13
- 56.61°, I 23
- 57.29°, I 20
- 60.91°, I 20
- 67.45°, I 13